No. 1
The following is a theoretical X-ray powder pattern of Sm2Fe15Si2. It was derived from a cell relaxed with PBE, using copper Kα.

Structural model:
```
data_Sm2Fe15Si2
_symmetry_space_group_name_H-M 'C 1 m 1'
_symmetry_Int_Tables_number 8
_symmetry_space_group_name_Hall 'C -2y'
_cell_length_a 9.577
_cell_length_b 8.407
_cell_length_c 6.402
_cell_angle_alpha 90.00
_cell_angle_beta 99.68
_cell_angle_gamma 90.00
loop_
_atom_site_label
_atom_site_type_symbol
_atom_site_fract_x
_atom_site_fract_y
_atom_site_fract_z
Sm1 Sm 0.000 0.000 0.000
Sm2 Sm 0.181 0.500 0.321
Fe1 Fe 0.002 0.000 0.500
Fe2 Fe 0.094 0.247 0.661
Fe3 Fe 0.182 0.500 0.815
Fe4 Fe 0.194 0.148 0.362
Fe5 Fe 0.250 0.000 0.754
Fe6 Fe 0.341 0.000 0.154
Fe7 Fe 0.343 0.296 0.659
Fe8 Fe 0.432 0.249 0.318
Fe9 Fe 0.439 0.000 0.562
Fe10 Fe 0.492 0.148 0.952
Si1 Si 0.251 0.247 0.997
```

Most intense lines, 2θ = 5–70°, most intense first:
43.2°, I = 100, (1 3 -2)
43.2°, I = 71, (3 3 0)
43.9°, I = 71, (4 0 -2)
42.8°, I = 70, (2 2 2)
43.0°, I = 65, (0 4 0)
37.0°, I = 58, (1 3 1)
30.3°, I = 53, (3 1 0)
38.1°, I = 38, (2 2 -2)
36.8°, I = 36, (2 0 2)
44.0°, I = 34, (2 0 -3)

***

No. 2
The following is a theoretical X-ray powder pattern of PrNp4Ni3S12. It was derived from a cell relaxed with PBE, using copper Kα.

Structural model:
```
data_PrNp4Ni3S12
_symmetry_space_group_name_H-M 'I m -3'
_symmetry_Int_Tables_number 204
_symmetry_space_group_name_Hall '-I 2 2 3'
_cell_length_a 9.552
_cell_length_b 9.552
_cell_length_c 9.552
_cell_angle_alpha 90.00
_cell_angle_beta 90.00
_cell_angle_gamma 90.00
loop_
_atom_site_label
_atom_site_type_symbol
_atom_site_fract_x
_atom_site_fract_y
_atom_site_fract_z
Pr1 Pr 0.000 0.000 0.000
Np1 Np 0.250 0.250 0.250
Ni1 Ni 0.000 0.000 0.500
S1 S 0.000 0.316 0.151
```

Most intense lines, 2θ = 5–70°, most intense first:
26.4°, I = 100, (2 2 0)
46.6°, I = 61, (4 2 2)
18.6°, I = 28, (2 0 0)
37.7°, I = 24, (4 0 0)
61.4°, I = 23, (6 2 0)
42.3°, I = 20, (4 2 0)
54.3°, I = 14, (4 4 0)
32.5°, I = 7, (2 2 2)
29.6°, I = 7, (3 0 1)
68.0°, I = 6, (4 4 4)

***

No. 3
The following is a theoretical X-ray powder pattern of Na2H6Br. It was derived from a cell relaxed with PBE, using copper Kα.

Structural model:
```
data_Na2H6Br
_symmetry_space_group_name_H-M 'F m -3 m'
_symmetry_Int_Tables_number 225
_symmetry_space_group_name_Hall '-F 4 2 3'
_cell_length_a 7.218
_cell_length_b 7.218
_cell_length_c 7.218
_cell_angle_alpha 90.00
_cell_angle_beta 90.00
_cell_angle_gamma 90.00
loop_
_atom_site_label
_atom_site_type_symbol
_atom_site_fract_x
_atom_site_fract_y
_atom_site_fract_z
Na1 Na 0.250 0.250 0.250
H1 H 0.000 0.000 0.134
Br1 Br 0.000 0.000 0.500
```

Most intense lines, 2θ = 5–70°, most intense first:
35.2°, I = 100, (2 2 0)
21.3°, I = 76, (1 1 1)
41.5°, I = 46, (3 1 1)
63.1°, I = 32, (4 2 2)
55.5°, I = 20, (3 3 1)
50.6°, I = 17, (4 0 0)
67.4°, I = 15, (3 3 3)
24.7°, I = 11, (2 0 0)
57.1°, I = 3, (4 2 0)
43.4°, I = 2, (2 2 2)

***

No. 4
The following is a theoretical X-ray powder pattern of Cs2UBr4O2. It was derived from a cell relaxed with PBE, using copper Kα.

Structural model:
```
data_Cs2UBr4O2
_symmetry_space_group_name_H-M 'P 1 21/c 1'
_symmetry_Int_Tables_number 14
_symmetry_space_group_name_Hall '-P 2ybc'
_cell_length_a 6.459
_cell_length_b 11.243
_cell_length_c 9.744
_cell_angle_alpha 90.00
_cell_angle_beta 104.43
_cell_angle_gamma 90.00
loop_
_atom_site_label
_atom_site_type_symbol
_atom_site_fract_x
_atom_site_fract_y
_atom_site_fract_z
Cs1 Cs 0.181 0.160 0.333
U1 U 0.500 0.000 0.000
Br1 Br 0.261 0.711 0.497
Br2 Br 0.316 0.035 0.705
O1 O 0.290 0.090 0.041
```

Most intense lines, 2θ = 5–70°, most intense first:
29.5°, I = 100, (0 1 3)
16.9°, I = 90, (1 1 -1)
12.2°, I = 80, (0 1 1)
28.2°, I = 78, (1 3 -1)
21.2°, I = 76, (1 2 0)
28.9°, I = 65, (2 1 -1)
20.5°, I = 57, (1 1 1)
21.8°, I = 55, (1 2 -1)
27.5°, I = 51, (1 1 2)
20.6°, I = 49, (1 0 -2)

***

No. 5
The following is a theoretical X-ray powder pattern of Pm3Co. It was derived from a cell relaxed with PBE, using copper Kα.

Structural model:
```
data_Pm3Co
_symmetry_space_group_name_H-M 'P 42/n'
_symmetry_Int_Tables_number 86
_cell_length_a 11.649
_cell_length_b 11.649
_cell_length_c 6.458
_cell_angle_alpha 90.00
_cell_angle_beta 90.00
_cell_angle_gamma 90.00
loop_
_symmetry_equiv_pos_as_xyz
'x,y,z'
'-x,-y,-z'
'-y,x+1/2,z+1/2'
'y,-x+1/2,-z+1/2'
'-x+1/2,-y+1/2,z'
'x+1/2,y+1/2,-z'
'y+1/2,-x,z+1/2'
'-y+1/2,x,-z+1/2'
loop_
_atom_site_label
_atom_site_type_symbol
_atom_site_fract_x
_atom_site_fract_y
_atom_site_fract_z
Pm1 Pm 0.034 0.593 0.191
Pm2 Pm 0.111 0.671 0.691
Pm3 Pm 0.124 0.186 0.022
Co1 Co 0.065 0.173 0.490
```

Most intense lines, 2θ = 5–70°, most intense first:
34.4°, I = 100, (2 4 0)
30.9°, I = 100, (2 3 1)
37.0°, I = 92, (1 3 2)
29.7°, I = 87, (1 1 2)
34.7°, I = 68, (4 1 1)
27.9°, I = 60, (3 1 1)
30.7°, I = 41, (4 0 0)
54.0°, I = 40, (5 3 2)
35.5°, I = 34, (3 3 1)
28.7°, I = 33, (1 0 2)

***

No. 6
The following is a theoretical X-ray powder pattern of Mn2Al3Cu2. It was derived from a cell relaxed with PBE, using copper Kα.

Structural model:
```
data_Mn2Al3Cu2
_symmetry_space_group_name_H-M 'C m m m'
_symmetry_Int_Tables_number 65
_symmetry_space_group_name_Hall '-C 2 2'
_cell_length_a 3.782
_cell_length_b 18.355
_cell_length_c 2.688
_cell_angle_alpha 90.00
_cell_angle_beta 90.00
_cell_angle_gamma 90.00
loop_
_atom_site_label
_atom_site_type_symbol
_atom_site_fract_x
_atom_site_fract_y
_atom_site_fract_z
Mn1 Mn 0.000 0.070 0.000
Al1 Al 0.000 0.350 0.500
Al2 Al 0.000 0.500 0.500
Cu1 Cu 0.000 0.209 0.000
```

Most intense lines, 2θ = 5–70°, most intense first:
41.9°, I = 100, (1 7 0)
41.5°, I = 74, (1 1 1)
48.1°, I = 34, (2 0 0)
33.3°, I = 26, (0 0 1)
24.0°, I = 26, (1 1 0)
44.9°, I = 23, (0 6 1)
54.6°, I = 23, (1 7 1)
52.4°, I = 21, (0 8 1)
9.6°, I = 19, (0 2 0)
43.9°, I = 15, (1 3 1)

***

No. 7
The following is a theoretical X-ray powder pattern of Tm6InBi3. It was derived from a cell relaxed with PBE, using copper Kα.

Structural model:
```
data_Tm6InBi3
_symmetry_space_group_name_H-M 'C m c m'
_symmetry_Int_Tables_number 63
_symmetry_space_group_name_Hall '-C 2c 2'
_cell_length_a 11.741
_cell_length_b 11.532
_cell_length_c 8.478
_cell_angle_alpha 90.00
_cell_angle_beta 90.00
_cell_angle_gamma 90.00
loop_
_atom_site_label
_atom_site_type_symbol
_atom_site_fract_x
_atom_site_fract_y
_atom_site_fract_z
Tm1 Tm 0.000 0.162 0.006
Tm2 Tm 0.156 0.500 0.000
Tm3 Tm 0.246 0.253 0.250
In1 In 0.000 0.356 0.250
Bi1 Bi 0.000 0.355 0.750
Bi2 Bi 0.147 0.001 0.250
```

Most intense lines, 2θ = 5–70°, most intense first:
32.1°, I = 100, (3 1 2)
32.4°, I = 94, (1 3 2)
34.3°, I = 47, (4 2 0)
34.7°, I = 39, (2 4 0)
42.7°, I = 30, (0 0 4)
55.8°, I = 24, (4 2 4)
64.5°, I = 20, (7 3 2)
56.1°, I = 20, (2 4 4)
65.3°, I = 18, (3 7 2)
30.3°, I = 17, (2 2 2)

***

No. 8
The following is a theoretical X-ray powder pattern of DyErCdCu. It was derived from a cell relaxed with PBE, using copper Kα.

Structural model:
```
data_DyErCdCu
_symmetry_space_group_name_H-M 'P 4 m m'
_symmetry_Int_Tables_number 99
_symmetry_space_group_name_Hall 'P 4 -2'
_cell_length_a 3.489
_cell_length_b 3.489
_cell_length_c 7.639
_cell_angle_alpha 90.00
_cell_angle_beta 90.00
_cell_angle_gamma 90.00
loop_
_atom_site_label
_atom_site_type_symbol
_atom_site_fract_x
_atom_site_fract_y
_atom_site_fract_z
Dy1 Dy 0.000 0.000 0.000
Er1 Er 0.000 0.000 0.558
Cd1 Cd 0.500 0.500 0.282
Cu1 Cu 0.500 0.500 0.774
```

Most intense lines, 2θ = 5–70°, most intense first:
34.8°, I = 100, (1 0 2)
36.4°, I = 48, (1 1 0)
64.5°, I = 32, (2 1 2)
52.5°, I = 17, (2 0 0)
61.4°, I = 14, (1 1 4)
25.5°, I = 9, (1 0 0)
28.1°, I = 8, (1 0 1)
47.6°, I = 8, (0 0 4)
51.6°, I = 6, (1 1 3)
66.9°, I = 6, (1 0 5)